Record 1
Calculated powder X-ray diffraction pattern
Compound: YSc4Pb5
Radiation: Cu Kα, 1.54184 Å
Structure: a structure optimized by DFT (PBE)
No peak broadening, texture or thermal motion is included.

Cell and atoms:
Cell lengths 7.4166, 7.4166, 7.4166 Å; angles 99.65, 99.65, 131.67 degrees
Fractional positions:
Y: 0.0000 0.0000 0.0000
Sc: 0.2142 0.3877 0.6020
Sc: 0.3877 0.7858 0.1735
Sc: 0.6123 0.2142 0.8265
Sc: 0.7858 0.6123 0.3980
Pb: 0.0913 0.6791 0.7704
Pb: 0.3209 0.0913 0.4123
Pb: 0.5000 0.5000 0.0000
Pb: 0.6791 0.9087 0.5877
Pb: 0.9087 0.3209 0.2296

Largest 10 diffraction maxima, by intensity, 10° ≤ 2θ ≤ 90°:
| Position (°2θ) | d/Å | I_rel |
| --- | --- | --- |
| 29.5 | 3.030 | 100 |
| 42.2 | 2.142 | 73 |
| 25.5 | 3.498 | 63 |
| 52.3 | 1.749 | 25 |
| 50.0 | 1.825 | 18 |
| 69.4 | 1.354 | 18 |
| 77.2 | 1.236 | 13 |
| 69.2 | 1.357 | 12 |
| 49.8 | 1.830 | 11 |
| 77.0 | 1.238 | 8 |

=====

Record 2
Calculated powder X-ray diffraction pattern
Compound: RbAl4O7
Radiation: Cu Kα, 1.54184 Å
Structure: a structure optimized by DFT (PBE)
No peak broadening, texture or thermal motion is included.

Cell and atoms:
Cell lengths 13.3178, 5.4049, 5.0762 Å; angles 90.00, 90.00, 90.00 degrees
Fractional positions:
Rb: 0.0000 0.1980 0.0000
Rb: 0.5000 0.8020 0.5000
Al: 0.1217 0.6819 0.4698
Al: 0.2490 0.8319 0.9652
Al: 0.2510 0.1681 0.4652
Al: 0.3783 0.3181 0.9698
Al: 0.6217 0.3181 0.9698
Al: 0.7490 0.1681 0.4652
Al: 0.7510 0.8319 0.9652
Al: 0.8783 0.6819 0.4698
O: 0.0000 0.7598 0.3724
O: 0.1384 0.7447 0.8056
O: 0.1511 0.3710 0.4211
O: 0.2137 0.8819 0.3049
O: 0.2863 0.1181 0.8049
O: 0.3489 0.6290 0.9211
O: 0.3616 0.2553 0.3056
O: 0.5000 0.2402 0.8724
O: 0.6384 0.2553 0.3056
O: 0.6511 0.6290 0.9211
O: 0.7137 0.1181 0.8049
O: 0.7863 0.8819 0.3049
O: 0.8489 0.3710 0.4211
O: 0.8616 0.7447 0.8056

Largest 10 diffraction maxima, by intensity, 10° ≤ 2θ ≤ 90°:
| Position (°2θ) | d/Å | I_rel |
| --- | --- | --- |
| 27.6 | 3.234 | 100 |
| 26.7 | 3.340 | 53 |
| 26.0 | 3.430 | 39 |
| 35.4 | 2.538 | 24 |
| 33.1 | 2.702 | 24 |
| 31.6 | 2.835 | 21 |
| 25.0 | 3.565 | 18 |
| 24.1 | 3.700 | 17 |
| 70.0 | 1.344 | 13 |
| 58.2 | 1.585 | 12 |

=====

Record 3
Calculated powder X-ray diffraction pattern
Compound: CaLaCe2Se4
Radiation: Cu Kα, 1.54184 Å
Structure: a structure optimized by DFT (PBE)
No peak broadening, texture or thermal motion is included.

Cell and atoms:
Cell lengths 8.4866, 8.4866, 8.4866 Å; angles 120.23, 119.80, 89.97 degrees
Fractional positions:
Ca: 0.5000 0.0000 0.0000
Ca: 0.5000 0.5000 0.5000
La: 0.0000 0.0000 0.0000
La: 0.5000 0.0000 0.5000
Ce: 0.0000 0.0000 0.5000
Ce: 0.0000 0.5000 0.0000
Ce: 0.0000 0.5000 0.5000
Ce: 0.5000 0.5000 0.0000
Se: 0.2525 0.7479 0.5046
Se: 0.2527 0.2569 0.5042
Se: 0.2527 0.7484 0.9958
Se: 0.2567 0.2521 0.0046
Se: 0.7433 0.7479 0.9954
Se: 0.7473 0.2516 0.0042
Se: 0.7473 0.7431 0.4958
Se: 0.7475 0.2521 0.4954

Largest 10 diffraction maxima, by intensity, 10° ≤ 2θ ≤ 90°:
| Position (°2θ) | d/Å | I_rel |
| --- | --- | --- |
| 29.8 | 3.000 | 100 |
| 42.6 | 2.122 | 49 |
| 70.1 | 1.342 | 22 |
| 52.7 | 1.736 | 13 |
| 53.0 | 1.728 | 13 |
| 42.5 | 2.128 | 12 |
| 77.8 | 1.227 | 12 |
| 42.8 | 2.114 | 12 |
| 61.8 | 1.500 | 12 |
| 78.2 | 1.222 | 8 |

=====

Record 4
Calculated powder X-ray diffraction pattern
Compound: Ho5Hg6
Radiation: Cu Kα, 1.54184 Å
Structure: a structure optimized by DFT (PBE)
No peak broadening, texture or thermal motion is included.

Cell and atoms:
Cell lengths 8.9952, 8.9952, 8.9952 Å; angles 146.79, 131.43, 60.11 degrees
Fractional positions:
Ho: 0.0000 0.0000 0.0000
Ho: 0.1706 0.6706 0.5000
Ho: 0.3467 0.3467 0.0000
Ho: 0.6533 0.6533 0.0000
Ho: 0.8294 0.3294 0.5000
Hg: 0.0854 0.8342 0.2512
Hg: 0.2398 0.5000 0.7398
Hg: 0.4170 0.1658 0.2512
Hg: 0.5830 0.8342 0.7488
Hg: 0.7602 0.5000 0.2602
Hg: 0.9146 0.1658 0.7488

Largest 10 diffraction maxima, by intensity, 10° ≤ 2θ ≤ 90°:
| Position (°2θ) | d/Å | I_rel |
| --- | --- | --- |
| 34.5 | 2.598 | 100 |
| 34.9 | 2.571 | 20 |
| 62.3 | 1.490 | 15 |
| 49.9 | 1.826 | 14 |
| 61.9 | 1.499 | 14 |
| 72.8 | 1.300 | 9 |
| 61.8 | 1.501 | 8 |
| 49.3 | 1.850 | 7 |
| 61.6 | 1.506 | 7 |
| 82.6 | 1.168 | 7 |

=====

Record 5
Calculated powder X-ray diffraction pattern
Compound: RhCl8
Radiation: Cu Kα, 1.54184 Å
Structure: a structure optimized by DFT (PBE)
No peak broadening, texture or thermal motion is included.

Cell and atoms:
Cell lengths 6.9718, 6.9718, 6.9718 Å; angles 110.10, 110.10, 108.22 degrees
Fractional positions:
Rh: 0.0000 0.0000 0.0000
Cl: 0.0000 0.2850 0.2850
Cl: 0.0000 0.7150 0.7150
Cl: 0.2850 0.0000 0.2850
Cl: 0.3336 0.3336 0.6673
Cl: 0.3336 0.6664 0.0000
Cl: 0.6664 0.3336 0.0000
Cl: 0.6664 0.6664 0.3327
Cl: 0.7150 0.0000 0.7150

Largest 10 diffraction maxima, by intensity, 10° ≤ 2θ ≤ 90°:
| Position (°2θ) | d/Å | I_rel |
| --- | --- | --- |
| 21.7 | 4.087 | 100 |
| 35.5 | 2.532 | 90 |
| 15.5 | 5.713 | 41 |
| 47.8 | 1.904 | 34 |
| 15.7 | 5.648 | 32 |
| 48.3 | 1.884 | 29 |
| 53.6 | 1.710 | 20 |
| 26.9 | 3.311 | 17 |
| 44.3 | 2.044 | 13 |
| 67.2 | 1.393 | 11 |

=====

Record 6
Calculated powder X-ray diffraction pattern
Compound: K2Ge
Radiation: Cu Kα, 1.54184 Å
Structure: a structure optimized by DFT (PBE)
No peak broadening, texture or thermal motion is included.

Cell and atoms:
Cell lengths 4.0897, 6.7262, 10.1848 Å; angles 70.76, 89.48, 72.62 degrees
Fractional positions:
K: 0.0103 0.4581 0.1713
K: 0.3181 0.8456 0.3441
K: 0.6819 0.1544 0.6559
K: 0.9897 0.5419 0.8287
Ge: 0.2902 0.9206 0.9614
Ge: 0.7098 0.0794 0.0386

Largest 10 diffraction maxima, by intensity, 10° ≤ 2θ ≤ 90°:
| Position (°2θ) | d/Å | I_rel |
| --- | --- | --- |
| 27.8 | 3.204 | 100 |
| 27.5 | 3.246 | 94 |
| 31.1 | 2.880 | 75 |
| 31.3 | 2.854 | 66 |
| 14.7 | 6.031 | 60 |
| 44.5 | 2.037 | 59 |
| 26.8 | 3.330 | 56 |
| 28.1 | 3.173 | 53 |
| 14.4 | 6.138 | 46 |
| 36.1 | 2.489 | 44 |

=====

Record 7
Calculated powder X-ray diffraction pattern
Compound: Li2AlBr5
Radiation: Cu Kα, 1.54184 Å
Structure: a structure optimized by DFT (PBE)
No peak broadening, texture or thermal motion is included.

Cell and atoms:
Cell lengths 11.0241, 12.9908, 7.5908 Å; angles 90.00, 90.00, 90.00 degrees
Fractional positions:
Li: 0.0000 0.0000 0.2214
Li: 0.0000 0.0000 0.7786
Li: 0.0509 0.2656 0.0000
Li: 0.4491 0.7656 0.5000
Li: 0.5000 0.5000 0.2786
Li: 0.5000 0.5000 0.7214
Li: 0.5509 0.2344 0.5000
Li: 0.9491 0.7344 0.0000
Al: 0.1513 0.2609 0.5000
Al: 0.3487 0.7609 0.0000
Al: 0.6513 0.2391 0.0000
Al: 0.8487 0.7391 0.5000
Br: 0.0158 0.8544 0.5000
Br: 0.1308 0.0901 0.0000
Br: 0.1413 0.3696 0.2572
Br: 0.1413 0.3696 0.7428
Br: 0.1739 0.6611 0.0000
Br: 0.3261 0.1611 0.5000
Br: 0.3587 0.8696 0.2428
Br: 0.3587 0.8696 0.7572
Br: 0.3692 0.5901 0.5000
Br: 0.4842 0.3544 0.0000
Br: 0.5158 0.6456 0.0000
Br: 0.6308 0.4099 0.5000
Br: 0.6413 0.1304 0.2428
Br: 0.6413 0.1304 0.7572
Br: 0.6739 0.8389 0.5000
Br: 0.8261 0.3389 0.0000
Br: 0.8587 0.6304 0.2572
Br: 0.8587 0.6304 0.7428
Br: 0.8692 0.9099 0.0000
Br: 0.9842 0.1456 0.5000

Largest 10 diffraction maxima, by intensity, 10° ≤ 2θ ≤ 90°:
| Position (°2θ) | d/Å | I_rel |
| --- | --- | --- |
| 28.4 | 3.141 | 100 |
| 24.2 | 3.677 | 70 |
| 25.8 | 3.459 | 46 |
| 27.5 | 3.248 | 45 |
| 17.5 | 5.074 | 44 |
| 31.9 | 2.802 | 44 |
| 27.0 | 3.308 | 36 |
| 49.8 | 1.829 | 35 |
| 45.4 | 1.998 | 33 |
| 32.4 | 2.760 | 32 |

=====

Record 8
Calculated powder X-ray diffraction pattern
Compound: Ag12SI
Radiation: Cu Kα, 1.54184 Å
Structure: a structure optimized by DFT (PBE)
No peak broadening, texture or thermal motion is included.

Cell and atoms:
Cell lengths 7.5077, 7.5077, 7.5077 Å; angles 90.00, 90.00, 90.00 degrees
Fractional positions:
Ag: 0.0000 0.2501 0.5000
Ag: 0.0000 0.5000 0.2501
Ag: 0.0000 0.5000 0.7499
Ag: 0.0000 0.7499 0.5000
Ag: 0.2501 0.0000 0.5000
Ag: 0.2501 0.5000 0.0000
Ag: 0.5000 0.0000 0.2501
Ag: 0.5000 0.0000 0.7499
Ag: 0.5000 0.2501 0.0000
Ag: 0.5000 0.7499 0.0000
Ag: 0.7499 0.0000 0.5000
Ag: 0.7499 0.5000 0.0000
S: 0.0000 0.0000 0.0000
I: 0.5000 0.5000 0.5000

Largest 10 diffraction maxima, by intensity, 10° ≤ 2θ ≤ 90°:
| Position (°2θ) | d/Å | I_rel |
| --- | --- | --- |
| 29.1 | 3.065 | 100 |
| 45.2 | 2.007 | 58 |
| 41.7 | 2.167 | 47 |
| 16.7 | 5.309 | 43 |
| 23.7 | 3.754 | 42 |
| 48.5 | 1.877 | 36 |
| 71.0 | 1.327 | 22 |
| 85.9 | 1.132 | 16 |
| 78.5 | 1.218 | 16 |
| 54.7 | 1.679 | 16 |

=====

Record 9
Calculated powder X-ray diffraction pattern
Compound: VWSe4
Radiation: Cu Kα, 1.54184 Å
Structure: a structure optimized by DFT (PBE)
No peak broadening, texture or thermal motion is included.

Cell and atoms:
Cell lengths 14.1676, 3.3295, 5.7737 Å; angles 90.00, 98.64, 90.00 degrees
Fractional positions:
V: 0.0000 0.0000 0.0000
V: 0.5000 0.5000 0.0000
W: 0.0000 0.5000 0.5000
W: 0.5000 0.0000 0.5000
Se: 0.1160 0.5000 0.8825
Se: 0.1182 0.0000 0.3696
Se: 0.3818 0.5000 0.6304
Se: 0.3840 0.0000 0.1175
Se: 0.6160 0.0000 0.8825
Se: 0.6182 0.5000 0.3696
Se: 0.8818 0.0000 0.6304
Se: 0.8840 0.5000 0.1175

Largest 10 diffraction maxima, by intensity, 10° ≤ 2θ ≤ 90°:
| Position (°2θ) | d/Å | I_rel |
| --- | --- | --- |
| 12.6 | 7.003 | 100 |
| 35.4 | 2.536 | 71 |
| 35.7 | 2.514 | 35 |
| 47.0 | 1.935 | 31 |
| 55.1 | 1.666 | 30 |
| 31.3 | 2.858 | 24 |
| 46.4 | 1.957 | 16 |
| 43.4 | 2.087 | 13 |
| 15.5 | 5.708 | 12 |
| 80.0 | 1.199 | 12 |

=====

Record 10
Calculated powder X-ray diffraction pattern
Compound: NaIn2Te4
Radiation: Cu Kα, 1.54184 Å
Structure: a structure optimized by DFT (PBE)
No peak broadening, texture or thermal motion is included.

Cell and atoms:
Cell lengths 6.8543, 6.8543, 11.5874 Å; angles 90.00, 90.00, 114.87 degrees
Fractional positions:
Na: 0.0000 0.0000 0.2500
Na: 0.0000 0.0000 0.7500
In: 0.2612 0.7364 0.0000
In: 0.2636 0.7388 0.5000
In: 0.7364 0.2612 0.5000
In: 0.7388 0.2636 0.0000
Te: 0.0000 0.5000 0.1875
Te: 0.0000 0.5000 0.8125
Te: 0.1682 0.2945 0.5000
Te: 0.2945 0.1682 0.0000
Te: 0.5000 0.0000 0.3125
Te: 0.5000 0.0000 0.6875
Te: 0.7055 0.8318 0.0000
Te: 0.8318 0.7055 0.5000

Largest 10 diffraction maxima, by intensity, 10° ≤ 2θ ≤ 90°:
| Position (°2θ) | d/Å | I_rel |
| --- | --- | --- |
| 32.7 | 2.740 | 100 |
| 27.2 | 3.278 | 94 |
| 15.3 | 5.785 | 69 |
| 47.4 | 1.916 | 40 |
| 30.9 | 2.893 | 40 |
| 42.7 | 2.118 | 37 |
| 59.9 | 1.544 | 19 |
| 44.3 | 2.043 | 16 |
| 59.4 | 1.555 | 11 |
| 49.4 | 1.845 | 11 |

=====

Record 11
Calculated powder X-ray diffraction pattern
Compound: TbTlIn2I6
Radiation: Cu Kα, 1.54184 Å
Structure: a structure optimized by DFT (PBE)
No peak broadening, texture or thermal motion is included.

Cell and atoms:
Cell lengths 8.5677, 8.5789, 8.9881 Å; angles 61.56, 61.54, 60.06 degrees
Fractional positions:
Tb: 0.0000 0.0000 0.0000
Tl: 0.5080 0.5078 0.4767
In: 0.3144 0.3151 0.0565
In: 0.8049 0.8057 0.5839
I: 0.1088 0.7599 0.7796
I: 0.2024 0.6376 0.2541
I: 0.3521 0.1089 0.7800
I: 0.6368 0.9065 0.2537
I: 0.7602 0.3517 0.7795
I: 0.9063 0.2023 0.2544

Largest 10 diffraction maxima, by intensity, 10° ≤ 2θ ≤ 90°:
| Position (°2θ) | d/Å | I_rel |
| --- | --- | --- |
| 23.9 | 3.723 | 100 |
| 31.7 | 2.824 | 99 |
| 36.3 | 2.476 | 62 |
| 14.3 | 6.199 | 53 |
| 28.8 | 3.100 | 36 |
| 19.8 | 4.486 | 30 |
| 35.7 | 2.512 | 29 |
| 48.9 | 1.862 | 24 |
| 41.8 | 2.161 | 22 |
| 62.1 | 1.495 | 13 |

=====

Record 12
Calculated powder X-ray diffraction pattern
Compound: La2Tb3Dy4
Radiation: Cu Kα, 1.54184 Å
Structure: a structure optimized by DFT (PBE)
No peak broadening, texture or thermal motion is included.

Cell and atoms:
Cell lengths 3.6099, 3.6099, 26.6097 Å; angles 90.00, 90.00, 120.00 degrees
Fractional positions:
La: 0.0000 0.0000 0.0000
La: 0.0000 0.0000 0.2251
Tb: 0.0000 0.0000 0.7814
Tb: 0.3333 0.6667 0.1151
Tb: 0.3333 0.6667 0.4614
Dy: 0.0000 0.0000 0.3569
Dy: 0.0000 0.0000 0.5690
Dy: 0.3333 0.6667 0.6745
Dy: 0.3333 0.6667 0.8876

Largest 10 diffraction maxima, by intensity, 10° ≤ 2θ ≤ 90°:
| Position (°2θ) | d/Å | I_rel |
| --- | --- | --- |
| 33.2 | 2.696 | 100 |
| 31.6 | 2.829 | 50 |
| 30.2 | 2.955 | 48 |
| 28.6 | 3.126 | 42 |
| 60.0 | 1.541 | 35 |
| 50.6 | 1.805 | 34 |
| 56.7 | 1.624 | 29 |
| 42.1 | 2.148 | 24 |
| 61.9 | 1.500 | 17 |
| 83.9 | 1.154 | 14 |

=====

Record 13
Calculated powder X-ray diffraction pattern
Compound: Ba5In2H
Radiation: Cu Kα, 1.54184 Å
Structure: a structure optimized by DFT (PBE)
No peak broadening, texture or thermal motion is included.

Cell and atoms:
Cell lengths 7.5605, 7.5632, 7.5658 Å; angles 94.47, 116.42, 118.48 degrees
Fractional positions:
Ba: 0.0000 0.0000 0.0000
Ba: 0.0029 0.6350 0.6317
Ba: 0.3170 0.3653 0.5824
Ba: 0.5345 0.6305 0.1651
Ba: 0.5384 0.0022 0.5338
In: 0.5790 0.1270 0.0829
In: 0.9613 0.5091 0.0820
H: 0.6760 0.7240 0.5828

Largest 10 diffraction maxima, by intensity, 10° ≤ 2θ ≤ 90°:
| Position (°2θ) | d/Å | I_rel |
| --- | --- | --- |
| 28.3 | 3.148 | 100 |
| 28.5 | 3.131 | 92 |
| 26.6 | 3.349 | 76 |
| 32.3 | 2.775 | 45 |
| 27.1 | 3.295 | 42 |
| 23.0 | 3.867 | 34 |
| 28.9 | 3.090 | 32 |
| 51.4 | 1.777 | 31 |
| 49.8 | 1.830 | 30 |
| 36.8 | 2.441 | 26 |